Sc3Ag2Rh: simulated powder X-ray diffraction pattern (Cu Kα (weighted mean of Kα1 and Kα2)), based on the GGA-PBE geometry in Alexandria.
Lines closer than 0.1° are merged.

Atomic structure:
```
Sc3Ag2Rh
1.0
2.3609 -7.0503 0.0000
2.3609 7.0503 0.0000
0.0000 0.0000 6.8804
Sc Ag Rh
6 4 2
direct
0.0000 0.0000 0.2381
0.0000 0.0000 0.7619
0.3284 0.6716 0.2323
0.3284 0.6716 0.7677
0.6716 0.3284 0.2323
0.6716 0.3284 0.7677
0.1659 0.8341 0.5000
0.5000 0.5000 0.0000
0.5000 0.5000 0.5000
0.8341 0.1659 0.5000
0.1657 0.8343 0.0000
0.8343 0.1657 0.0000
```

Top 10 peaks for 2θ = 5–70°, sorted by position:
| 2θ (°) | I_rel |
| --- | --- |
| 25.90 | 12 |
| 26.76 | 22 |
| 37.59 | 100 |
| 38.12 | 24 |
| 38.30 | 24 |
| 53.25 | 8 |
| 55.14 | 16 |
| 67.36 | 8 |
| 68.53 | 15 |
| 68.78 | 15 |